(1)
Starting from a cell relaxed with GGA-PBE, the powder diffraction line list of Lu5Ni19B6 was calculated for copper Kα.

Crystal structure
Lattice parameters (Å, degrees): 4.9160 4.9160 16.9711 90.00 90.00 120.00
Element x y z (fractional)
Lu  0.0000  0.0000  0.0000
Lu  0.0000  0.0000  0.2020
Lu  0.0000  0.0000  0.4037
Lu  0.0000  0.0000  0.5963
Lu  0.0000  0.0000  0.7980
Ni  0.0000  0.5000  0.0853
Ni  0.0000  0.5000  0.3232
Ni  0.0000  0.5000  0.5000
Ni  0.0000  0.5000  0.6768
Ni  0.0000  0.5000  0.9147
Ni  0.3333  0.6667  0.2046
Ni  0.3333  0.6667  0.7954
Ni  0.5000  0.0000  0.0853
Ni  0.5000  0.0000  0.3232
Ni  0.5000  0.0000  0.5000
Ni  0.5000  0.0000  0.6768
Ni  0.5000  0.0000  0.9147
Ni  0.5000  0.5000  0.0853
Ni  0.5000  0.5000  0.3232
Ni  0.5000  0.5000  0.5000
Ni  0.5000  0.5000  0.6768
Ni  0.5000  0.5000  0.9147
Ni  0.6667  0.3333  0.2046
Ni  0.6667  0.3333  0.7954
B  0.3333  0.6667  0.0000
B  0.3333  0.6667  0.4093
B  0.3333  0.6667  0.5907
B  0.6667  0.3333  0.0000
B  0.6667  0.3333  0.4093
B  0.6667  0.3333  0.5907

Peak list (6 most intense, 2θ = 10–90°, by angle)
2θ/deg, I_rel
20.87, 23
33.77, 100
36.56, 30
42.47, 79
45.56, 94
64.04, 32


(2)
Starting from a cell relaxed with GGA-PBE, the powder diffraction line list of Cd2SeS was calculated for copper Kα.

Crystal structure
Lattice parameters (Å, degrees): 4.2977 4.2977 7.0079 90.00 90.00 120.00
Element x y z (fractional)
Cd  0.0000  0.0000  0.0000
Cd  0.3333  0.6667  0.5194
Se  0.3333  0.6667  0.1355
S  0.0000  0.0000  0.6322

Peak list (6 most intense, 2θ = 10–90°, by angle)
2θ/deg, I_rel
23.91, 99
25.42, 59
27.13, 100
42.05, 81
45.86, 80
49.78, 54


(3)
Starting from a cell relaxed with GGA-PBE, the powder diffraction line list of LiTiSi3O8 was calculated for copper Kα.

Crystal structure
Lattice parameters (Å, degrees): 7.1134 7.1951 7.5111 117.54 106.18 98.68
Element x y z (fractional)
Li  0.1140  0.0068  0.3036
Li  0.8860  0.9932  0.6964
Ti  0.4544  0.0574  0.6815
Ti  0.5456  0.9426  0.3185
Si  0.1647  0.5522  0.3079
Si  0.2731  0.4788  0.7105
Si  0.3120  0.1623  0.0357
Si  0.6880  0.8377  0.9643
Si  0.7269  0.5212  0.2895
Si  0.8353  0.4478  0.6921
O  0.0763  0.4637  0.7775
O  0.1821  0.3344  0.1138
O  0.2000  0.9893  0.7744
O  0.2367  0.5441  0.5272
O  0.2989  0.7943  0.3644
O  0.3149  0.2443  0.6146
O  0.3527  0.0589  0.1902
O  0.4665  0.6848  0.9369
O  0.5335  0.3152  0.0631
O  0.6473  0.9411  0.8098
O  0.6851  0.7557  0.3854
O  0.7011  0.2057  0.6356
O  0.7633  0.4559  0.4728
O  0.8000  0.0107  0.2256
O  0.8179  0.6656  0.8862
O  0.9237  0.5363  0.2225

Peak list (6 most intense, 2θ = 10–90°, by angle)
2θ/deg, I_rel
13.72, 82
20.40, 34
23.27, 100
24.69, 52
26.69, 56
28.49, 46


(4)
Starting from a cell relaxed with GGA-PBE, the powder diffraction line list of NbCr3Ag2S8 was calculated for copper Kα.

Crystal structure
Lattice parameters (Å, degrees): 11.9118 3.4632 12.2638 90.00 91.44 90.00
Element x y z (fractional)
Nb  0.1489  0.2500  0.2198
Nb  0.8511  0.7500  0.7802
Cr  0.1120  0.2500  0.5806
Cr  0.3495  0.7500  0.7099
Cr  0.3993  0.7500  0.0721
Cr  0.6007  0.2500  0.9279
Cr  0.6505  0.2500  0.2901
Cr  0.8880  0.7500  0.4194
Ag  0.1462  0.7500  0.9038
Ag  0.3746  0.2500  0.4221
Ag  0.6254  0.7500  0.5779
Ag  0.8538  0.2500  0.0962
S  0.0300  0.2500  0.3832
S  0.0479  0.7500  0.1151
S  0.2119  0.2500  0.7500
S  0.2376  0.7500  0.5416
S  0.2648  0.2500  0.0366
S  0.2978  0.7500  0.2500
S  0.4516  0.2500  0.6272
S  0.4660  0.7500  0.8852
S  0.5340  0.2500  0.1148
S  0.5484  0.7500  0.3728
S  0.7022  0.2500  0.7500
S  0.7352  0.7500  0.9634
S  0.7624  0.2500  0.4584
S  0.7881  0.7500  0.2500
S  0.9521  0.2500  0.8849
S  0.9700  0.7500  0.6168

Peak list (6 most intense, 2θ = 10–90°, by angle)
2θ/deg, I_rel
26.14, 64
26.76, 100
35.28, 66
37.22, 54
37.69, 48
52.87, 39